Theoretical powder diffractogram
Compound: NiRh2F11
Radiation: Cu Kα X-rays
Structure: a DFT-relaxed cell (PBE+U, Alexandria)

Cell lengths 7.9812, 10.7213, 10.4619 Å; angles 90.00, 90.00, 90.00 degrees
Space group Ibam (No. 72)
One atom of each set of equivalent atoms:
Ni (0.0000, 0.0000, 0.2500) x4
Rh (0.2200, 0.4108, 0.0000) x8
F (0.0000, 0.5000, 0.0000) x4
F (0.0731, 0.1716, 0.5000) x8
F (0.1412, 0.3099, 0.1331) x16
F (0.1838, 0.0258, 0.1291) x16

Top 10 peaks for 10° ≤ 2θ ≤ 90°, in order of rising 2θ:
2θ 16.54, rel. 31, (0 2 0); 2θ 16.95, rel. 37, (0 0 2); 2θ 21.70, rel. 100, (1 2 1); 2θ 21.94, rel. 22, (1 1 2); 2θ 22.28, rel. 13, (2 0 0); 2θ 28.13, rel. 25, (2 0 2); 2θ 32.35, rel. 12, (1 3 2); 2θ 32.62, rel. 26, (1 2 3); 2θ 32.80, rel. 15, (2 2 2); 2θ 44.10, rel. 16, (1 4 3)